No. 1
For ZnMoPd, a structure optimized by DFT (PBE) gives the theoretical X-ray powder pattern in this record (copper Kα).

Structure:
abc: 13.2584 2.9355 4.6833
angles: 90.00 90.00 90.00
Space group Amm2 (No. 38)
Unique sites:
Zn: 0.1707 0.0000 0.0000
Mo: 0.0000 0.0000 0.6482
Mo: 0.5000 0.0000 0.9963
Pd: 0.3330 0.0000 0.6486

The 6 most intense peaks (10 to 90 degrees two-theta), in order of rising 2θ:
Position (°2θ)  I (rel.)  index
36.1  21  0 1 1
40.8  33  6 0 0
41.7  100  3 1 1
43.7  36  3 0 2
74.9  17  9 1 1
82.5  16  6 1 3



No. 2
For Pm2Si4Mo3, a structure optimized by DFT (PBE) gives the theoretical X-ray powder pattern in this record (copper Kα).

Structure:
abc: 6.9472 7.0036 6.8633
angles: 90.00 109.00 90.00
Space group P2_1/c (No. 14)
Unique sites:
Pm: 0.1888 0.1680 0.0612
Si: 0.0940 0.5482 0.8729
Si: 0.4931 0.6323 0.6278
Mo: 0.2539 0.6614 0.2499
Mo: 0.5000 0.0000 0.5000

The 6 most intense peaks (10 to 90 degrees two-theta), in order of rising 2θ:
Position (°2θ)  I (rel.)  index
29.0  34  0 2 1
30.1  35  1 2 -1
36.8  100  2 2 -1
37.0  94  1 1 2
41.1  47  0 3 1
41.5  66  3 0 -2



No. 3
For PmUMo, a structure optimized by DFT (PBE) gives the theoretical X-ray powder pattern in this record (copper Kα).

Structure:
abc: 8.4385 8.4385 10.1943
angles: 90.00 90.00 120.00
Space group R3 (No. 146, hexagonal axes)
Unique sites:
Pm: 0.0688 0.3849 0.0000
U: 0.0000 0.0000 0.0636
U: 0.0000 0.0000 0.5567
U: 0.0000 0.0000 0.8180
Mo: 0.0261 0.6325 0.2212

The 6 most intense peaks (10 to 90 degrees two-theta), in order of rising 2θ:
Position (°2θ)  I (rel.)  index
21.1  42  1 1 0
33.6  41  3 -1 1
33.9  77  1 1 3
36.9  100  3 0 0
37.4  50  1 0 4
58.2  38  4 -3 4



No. 4
For PmVMo, a structure optimized by DFT (PBE) gives the theoretical X-ray powder pattern in this record (copper Kα).

Structure:
abc: 6.3300 6.3300 16.8927
angles: 90.00 90.00 120.00
Space group R3 (No. 146, hexagonal axes)
Unique sites:
Pm: 0.0198 0.3526 0.0000
V: 0.0000 0.0000 0.5058
V: 0.0000 0.0000 0.7715
V: 0.0000 0.0000 0.8904
Mo: 0.0031 0.7622 0.1648

The 6 most intense peaks (10 to 90 degrees two-theta), in order of rising 2θ:
Position (°2θ)  I (rel.)  index
28.2  12  1 1 0
31.8  25  0 0 6
32.5  100  2 -1 3
43.0  17  1 1 6
49.9  16  3 0 0
57.0  18  2 -1 9



No. 5
For Pr2MoS6, a structure optimized by DFT (PBE) gives the theoretical X-ray powder pattern in this record (copper Kα).

Structure:
abc: 6.3395 6.3395 11.9836
angles: 90.00 90.00 90.00
Space group P4_2/mnm (No. 136)
Unique sites:
Pr: 0.0000 0.0000 0.1712
Mo: 0.0000 0.0000 0.5000
S: 0.1876 0.1876 0.3612
S: 0.2213 0.2213 0.0000

The 6 most intense peaks (10 to 90 degrees two-theta), in order of rising 2θ:
Position (°2θ)  I (rel.)  index
19.8  100  1 1 0
26.4  63  1 0 3
39.0  76  2 1 3
40.2  27  2 2 0
48.8  29  3 0 3
50.0  16  1 1 6



No. 6
For PrMo6Se8, a structure optimized by DFT (PBE) gives the theoretical X-ray powder pattern in this record (copper Kα).

Structure:
abc: 9.5468 9.5468 12.0837
angles: 90.00 90.00 120.00
Space group R-3 (No. 148, hexagonal axes)
Unique sites:
Pr: 0.0000 0.0000 0.0000
Mo: 0.0164 0.1705 0.4070
Se: 0.0000 0.0000 0.2419
Se: 0.0033 0.6288 0.7503

The 6 most intense peaks (10 to 90 degrees two-theta), in order of rising 2θ:
Position (°2θ)  I (rel.)  index
13.0  58  1 0 1
32.3  42  3 -2 2
32.5  44  3 0 0
40.0  67  4 -3 1
41.6  50  2 1 4
44.1  100  4 -2 3



No. 7
For MoPt2, a structure optimized by DFT (PBE) gives the theoretical X-ray powder pattern in this record (copper Kα).

Structure:
abc: 5.1828 5.1828 8.4855
angles: 90.00 90.00 120.00
Space group P6_3/mmc (No. 194)
Unique sites:
Mo: 0.3333 0.6667 0.0435
Pt: 0.0000 0.0000 0.0000
Pt: 0.1698 0.3396 0.7500

The 6 most intense peaks (10 to 90 degrees two-theta), in order of rising 2θ:
Position (°2θ)  I (rel.)  index
19.8  31  1 0 0
37.6  37  1 0 3
40.8  100  1 1 2
41.6  93  2 0 1
42.6  36  0 0 4
45.7  38  2 0 2



No. 8
For Mo2Pt, a structure optimized by DFT (PBE) gives the theoretical X-ray powder pattern in this record (copper Kα).

Structure:
abc: 2.6863 15.2610 4.6209
angles: 90.00 90.00 90.00
Space group Cmcm (No. 63)
Unique sites:
Mo: 0.0000 0.0490 0.2500
Mo: 0.0000 0.3793 0.2500
Pt: 0.0000 0.2837 0.7500

The 6 most intense peaks (10 to 90 degrees two-theta), in order of rising 2θ:
Position (°2θ)  I (rel.)  index
11.6  46  0 2 0
37.9  42  1 3 0
39.0  52  0 0 2
40.5  87  0 6 1
42.8  100  1 3 1
55.5  27  1 3 2



No. 9
For Mo2Pt, a structure optimized by DFT (PBE) gives the theoretical X-ray powder pattern in this record (copper Kα).

Structure:
abc: 5.6315 3.9368 8.4609
angles: 90.00 90.00 90.00
Space group Pnma (No. 62)
Unique sites:
Mo: 0.1192 0.2500 0.0807
Mo: 0.1455 0.2500 0.7390
Pt: 0.1226 0.2500 0.4145

The 6 most intense peaks (10 to 90 degrees two-theta), in order of rising 2θ:
Position (°2θ)  I (rel.)  index
39.3  100  0 1 3
45.5  32  2 0 3
46.1  16  0 2 0
66.8  20  2 2 3
79.9  24  2 1 6
80.8  12  0 3 3



No. 10
For MoPt, a structure optimized by DFT (PBE) gives the theoretical X-ray powder pattern in this record (copper Kα).

Structure:
abc: 4.5081 5.6652 9.7271
angles: 90.00 90.00 90.00
Space group Amm2 (No. 38)
Unique sites:
Mo: 0.0000 0.0000 0.0000
Mo: 0.0000 0.2412 0.2450
Mo: 0.5000 0.0000 0.3306
Pt: 0.0000 0.0000 0.4995
Pt: 0.5000 0.0000 0.8331
Pt: 0.5000 0.2474 0.5832

The 6 most intense peaks (10 to 90 degrees two-theta), in order of rising 2θ:
Position (°2θ)  I (rel.)  index
36.7  27  0 2 2
40.0  38  2 0 0
42.0  100  1 2 2
42.2  51  1 0 4
74.0  19  3 2 2
80.5  20  2 2 6



No. 11
For Mo3Pt, a structure optimized by DFT (PBE) gives the theoretical X-ray powder pattern in this record (copper Kα).

Structure:
abc: 5.0158 5.0158 5.0158
angles: 90.00 90.00 90.00
Space group Pm-3n (No. 223)
Unique sites:
Mo: 0.0000 0.2500 0.5000
Pt: 0.0000 0.0000 0.0000

The 6 most intense peaks (10 to 90 degrees two-theta), in order of rising 2θ:
Position (°2θ)  I (rel.)  index
25.1  23  1 1 0
35.8  45  2 0 0
40.2  60  2 1 0
44.2  100  2 1 1
70.2  51  3 2 1
86.8  15  4 2 0



No. 12
For MoPt, a structure optimized by DFT (PBE) gives the theoretical X-ray powder pattern in this record (copper Kα).

Structure:
abc: 10.3150 2.7548 4.9445
angles: 90.00 117.89 90.00
Space group C2/m (No. 12)
Unique sites:
Mo: 0.1240 0.0000 0.2837
Pt: 0.1203 0.5000 0.7910

The 6 most intense peaks (10 to 90 degrees two-theta), in order of rising 2θ:
Position (°2θ)  I (rel.)  index
37.4  45  1 1 -1
39.5  78  4 0 0
41.3  54  0 0 2
41.8  47  4 0 -2
42.4  92  1 1 1
42.6  100  3 1 -1



No. 13
For Mo2Pt, a structure optimized by DFT (PBE) gives the theoretical X-ray powder pattern in this record (copper Kα).

Structure:
abc: 10.3784 2.7703 6.7446
angles: 90.00 104.70 90.00
Space group Cm (No. 8)
Unique sites:
Mo: 0.0000 0.0000 0.0000
Mo: 0.0609 0.0000 0.6198
Mo: 0.1744 0.5000 0.3313
Mo: 0.3310 0.0000 0.6662
Pt: 0.2228 0.5000 0.9426
Pt: 0.3961 0.0000 0.2843

The 6 most intense peaks (10 to 90 degrees two-theta), in order of rising 2θ:
Position (°2θ)  I (rel.)  index
37.2  30  1 1 1
39.4  41  4 0 -2
41.5  28  0 0 3
41.7  28  4 0 1
42.3  100  1 1 -2
66.1  17  3 1 3



No. 14
For Mo2PtRh6, a structure optimized by DFT (PBE) gives the theoretical X-ray powder pattern in this record (copper Kα).

Structure:
abc: 3.9056 11.5134 11.7280
angles: 90.00 90.00 90.00
Space group Fmmm (No. 69)
Unique sites:
Mo: 0.0000 0.0000 0.1640
Pt: 0.0000 0.0000 0.5000
Rh: 0.0000 0.1615 0.3304
Rh: 0.0000 0.1676 0.0000

The 6 most intense peaks (10 to 90 degrees two-theta), in order of rising 2θ:
Position (°2θ)  I (rel.)  index
40.2  100  1 3 3
46.5  33  2 0 0
47.4  15  0 6 0
68.5  20  2 6 0
81.9  25  3 3 3
83.2  12  1 9 3